Record 1
Rb3NaPbO4: theoretical X-ray powder pattern (Cu Kα (λ = 1.5418 Å)), based on a structure optimized by DFT (GGA-PBE).

Most intense lines, 10 to 90 degrees two-theta, by angle:
2θ = 15.59°, d = 5.685 Å, intensity 71.1
2θ = 19.10°, d = 4.646 Å, intensity 19.1
2θ = 25.34°, d = 3.514 Å, intensity 30.4
2θ = 28.25°, d = 3.159 Å, intensity 96.0
2θ = 28.35°, d = 3.148 Å, intensity 67.6
2θ = 29.92°, d = 2.986 Å, intensity 100.0
2θ = 34.65°, d = 2.589 Å, intensity 51.8
2θ = 35.00°, d = 2.564 Å, intensity 37.5
2θ = 47.62°, d = 1.910 Å, intensity 28.5
2θ = 51.10°, d = 1.788 Å, intensity 31.7

Structural model:
Unit cell a=11.173 b=6.780 c=11.292 alpha=90.00 beta=111.65 gamma=90.00
Fractional positions:
Rb1 0.034 0.176 0.172
Rb2 0.034 0.324 0.672
Rb3 0.319 0.621 0.893
Rb4 0.319 0.879 0.393
Rb5 0.456 0.107 0.812
Rb6 0.456 0.393 0.312
Rb7 0.544 0.607 0.688
Rb8 0.544 0.893 0.188
Rb9 0.681 0.121 0.607
Rb10 0.681 0.379 0.107
Rb11 0.966 0.676 0.328
Rb12 0.966 0.824 0.828
Na1 0.125 0.619 0.109
Na2 0.125 0.881 0.609
Na3 0.875 0.119 0.391
Na4 0.875 0.381 0.891
Pb1 0.241 0.143 0.990
Pb2 0.241 0.357 0.490
Pb3 0.759 0.643 0.510
Pb4 0.759 0.857 0.010
O1 0.105 0.126 0.455
O2 0.105 0.374 0.955
O3 0.204 0.006 0.812
O4 0.204 0.494 0.312
O5 0.229 0.575 0.619
O6 0.229 0.925 0.119
O7 0.429 0.238 0.554
O8 0.429 0.262 0.054
O9 0.571 0.738 0.946
O10 0.571 0.762 0.446
O11 0.771 0.075 0.881
O12 0.771 0.425 0.381
O13 0.796 0.506 0.688
O14 0.796 0.994 0.188
O15 0.895 0.626 0.045
O16 0.895 0.874 0.545

***

Record 2
K2TlInF6: theoretical X-ray powder pattern (Cu Kα (λ = 1.5418 Å)), based on a structure optimized by DFT (GGA-PBE).

Most intense lines, 10 to 90 degrees two-theta, by angle:
2θ = 18.76°, d = 4.731 Å, intensity 66.3
2θ = 26.65°, d = 3.345 Å, intensity 100.0
2θ = 38.04°, d = 2.365 Å, intensity 37.8
2θ = 42.74°, d = 2.116 Å, intensity 31.2
2θ = 47.05°, d = 1.931 Å, intensity 40.4
2θ = 54.89°, d = 1.673 Å, intensity 23.4
2θ = 58.53°, d = 1.577 Å, intensity 15.3
2θ = 62.04°, d = 1.496 Å, intensity 19.9
2θ = 75.14°, d = 1.264 Å, intensity 21.9
2θ = 87.48°, d = 1.115 Å, intensity 10.7

Structural model:
Unit cell a=6.690 b=6.690 c=6.690 alpha=60.00 beta=60.00 gamma=60.00
Fractional positions:
K1 0.250 0.250 0.250
K2 0.750 0.750 0.750
Tl1 0.000 0.000 0.000
In1 0.500 0.500 0.500
F1 0.277 0.277 0.723
F2 0.277 0.723 0.277
F3 0.277 0.723 0.723
F4 0.723 0.277 0.277
F5 0.723 0.277 0.723
F6 0.723 0.723 0.277

***

Record 3
SiIr: theoretical X-ray powder pattern (Cu Kα (λ = 1.5418 Å)), based on a structure optimized by DFT (GGA-PBE).

Most intense lines, 10 to 90 degrees two-theta, by angle:
2θ = 27.93°, d = 3.194 Å, intensity 43.4
2θ = 31.10°, d = 2.875 Å, intensity 100.0
2θ = 31.98°, d = 2.798 Å, intensity 45.8
2θ = 43.00°, d = 2.103 Å, intensity 76.6
2θ = 45.22°, d = 2.005 Å, intensity 88.2
2θ = 45.58°, d = 1.990 Å, intensity 25.6
2θ = 51.45°, d = 1.776 Å, intensity 19.6
2θ = 67.58°, d = 1.386 Å, intensity 21.7
2θ = 74.15°, d = 1.279 Å, intensity 17.6
2θ = 75.58°, d = 1.258 Å, intensity 18.5

Structural model:
Unit cell a=5.596 b=3.220 c=6.388 alpha=90.00 beta=90.00 gamma=90.00
Fractional positions:
Si1 0.183 0.250 0.060
Si2 0.317 0.750 0.560
Si3 0.683 0.250 0.440
Si4 0.817 0.750 0.940
Ir1 0.002 0.250 0.706
Ir2 0.498 0.750 0.206
Ir3 0.502 0.250 0.794
Ir4 0.998 0.750 0.294